Computed X-ray diffraction stick pattern
Compound: AgW2Br6O2
Radiation: Cu Kα, 1.54184 Å
Structure: a cell relaxed with GGA+U
Lines closer than 0.1° are merged.

Cell: 15.549 3.873 12.118 Å, 90.00 114.64 90.00°
Space group Cm (No. 8)
Inequivalent atoms, fractional coordinates:
Ag 0.000 0.000 0.000 x2
W 0.205 0.500 0.309 x2
W 0.352 0.500 0.663 x2
Br 0.021 0.500 0.172 x2
Br 0.032 0.000 0.801 x2
Br 0.168 0.500 0.507 x2
Br 0.248 0.500 0.131 x2
Br 0.304 0.500 0.840 x2
Br 0.388 0.500 0.466 x2
O 0.204 0.000 0.316 x2
O 0.351 0.000 0.657 x2

Principal peaks in the range 5 to 70 degrees two-theta, in order of rising 2θ:
index, 2θ (°), intensity
2 0 -1, 11.7, 100
1 1 0, 23.8, 56
1 1 -1, 24.3, 35
4 0 1, 29.6, 51
3 1 -4, 38.1, 43
5 1 1, 43.1, 24
5 1 -5, 46.7, 12
0 2 0, 46.9, 19
7 1 -3, 47.6, 12
4 2 1, 56.4, 16